(1)
Simulated X-ray powder pattern of Pr4SiAg3 for copper Kα, from the GGA-PBE geometry in OQMD.
Kinematic intensities with the Lorentz-polarization factor, no thermal factor.

Top 10 peaks for 2θ = 10–90°, in order of rising 2θ:
- 2θ = 26.64°, I = 56
- 2θ = 30.33°, I = 95
- 2θ = 31.84°, I = 72
- 2θ = 33.83°, I = 85
- 2θ = 37.19°, I = 100
- 2θ = 37.94°, I = 56
- 2θ = 38.87°, I = 37
- 2θ = 50.34°, I = 39
- 2θ = 50.86°, I = 21
- 2θ = 55.44°, I = 26

Cell and atoms:
Unit cell a=6.0600 b=4.7436 c=7.5197 alpha=90.00 beta=90.13 gamma=90.00
Atoms (fractional coordinates):
Pr (0.0000, 0.0000, 0.0000)
Pr (0.2174, 0.0000, 0.4872)
Pr (0.4813, 0.5000, 0.8491)
Pr (0.7287, 0.5000, 0.3359)
Si (0.2157, 0.5000, 0.2167)
Ag (0.4917, 0.0000, 0.1316)
Ag (0.7143, 0.0000, 0.6358)
Ag (0.9820, 0.5000, 0.7123)


(2)
Simulated X-ray powder pattern of PrSmSi2Ag2 for copper Kα, from the GGA-PBE geometry in OQMD.
Kinematic intensities with the Lorentz-polarization factor, no thermal factor.

Top 10 peaks for 2θ = 10–90°, in order of rising 2θ:
- 2θ = 22.93°, I = 15
- 2θ = 25.75°, I = 22
- 2θ = 32.87°, I = 100
- 2θ = 40.28°, I = 51
- 2θ = 42.38°, I = 8
- 2θ = 47.48°, I = 9
- 2θ = 52.93°, I = 25
- 2θ = 63.98°, I = 22
- 2θ = 68.55°, I = 23
- 2θ = 73.23°, I = 8

Cell and atoms:
Unit cell a=4.4777 b=4.4777 c=7.6601 alpha=90.00 beta=90.00 gamma=120.00
Atoms (fractional coordinates):
Pr (0.0000, 0.0000, 0.0000)
Sm (0.0000, 0.0000, 0.5016)
Si (0.3333, 0.6667, 0.7759)
Si (0.6667, 0.3333, 0.2881)
Ag (0.3333, 0.6667, 0.2452)
Ag (0.6667, 0.3333, 0.7239)


(3)
Simulated X-ray powder pattern of PrTmAg2Sn2 for copper Kα, from the GGA-PBE geometry in OQMD.
Kinematic intensities with the Lorentz-polarization factor, no thermal factor.

Top 10 peaks for 2θ = 10–90°, in order of rising 2θ:
- 2θ = 24.68°, I = 8
- 2θ = 32.35°, I = 100
- 2θ = 37.83°, I = 76
- 2θ = 42.40°, I = 14
- 2θ = 50.60°, I = 28
- 2θ = 63.30°, I = 17
- 2θ = 64.88°, I = 27
- 2θ = 68.31°, I = 13
- 2θ = 80.83°, I = 8
- 2θ = 89.76°, I = 12

Cell and atoms:
Unit cell a=4.7566 b=4.7566 c=7.4735 alpha=90.00 beta=90.00 gamma=120.00
Atoms (fractional coordinates):
Pr (0.0000, 0.0000, 0.0000)
Tm (0.0000, 0.0000, 0.5020)
Ag (0.3333, 0.6667, 0.2140)
Ag (0.6667, 0.3333, 0.6828)
Sn (0.3333, 0.6667, 0.7721)
Sn (0.6667, 0.3333, 0.2861)


(4)
Simulated X-ray powder pattern of Pr3Zn2Ag for copper Kα, from the GGA-PBE geometry in OQMD.
Kinematic intensities with the Lorentz-polarization factor, no thermal factor.

Top 10 peaks for 2θ = 10–90°, in order of rising 2θ:
- 2θ = 23.73°, I = 8
- 2θ = 33.81°, I = 52
- 2θ = 34.05°, I = 100
- 2θ = 48.56°, I = 18
- 2θ = 49.29°, I = 8
- 2θ = 60.64°, I = 37
- 2θ = 61.11°, I = 17
- 2θ = 71.69°, I = 11
- 2θ = 81.11°, I = 8
- 2θ = 81.25°, I = 8

Cell and atoms:
Unit cell a=3.7496 b=3.7496 c=11.0933 alpha=90.00 beta=90.00 gamma=90.00
Atoms (fractional coordinates):
Pr (0.0000, 0.0000, 0.0000)
Pr (0.0000, 0.0000, 0.3253)
Pr (0.0000, 0.0000, 0.6747)
Zn (0.5000, 0.5000, 0.1608)
Zn (0.5000, 0.5000, 0.8392)
Ag (0.5000, 0.5000, 0.5000)